[1]
Structure and simulated powder X-ray diffraction pattern of Cs3AlGe2O7 (a crystal structure in Alexandria, relaxed with GGA-PBE; Cu Kα).
Neutral-atom scattering factors, no anomalous dispersion.

Peak list (6 most intense, 10° ≤ 2θ ≤ 90°, most intense first)
| index | 2θ/deg | intensity |
| --- | --- | --- |
| 0 4 1 | 24.76 | 100 |
| 0 0 2 | 28.73 | 91 |
| 2 2 -2 | 25.65 | 76 |
| 2 2 0 | 24.88 | 72 |
| 2 4 -1 | 27.22 | 53 |
| 1 5 0 | 27.74 | 46 |

Crystal structure
```
data_Cs3AlGe2O7
_cell_length_a 9.798
_cell_length_b 17.638
_cell_length_c 7.775
_cell_angle_alpha 90.00
_cell_angle_beta 126.94
_cell_angle_gamma 90.00
_symmetry_space_group_name_H-M 'C 1 2/c 1'
_symmetry_Int_Tables_number 15
_symmetry_space_group_name_Hall '-C 2yc'
loop_
_atom_site_label
_atom_site_type_symbol
_atom_site_fract_x
_atom_site_fract_y
_atom_site_fract_z
_atom_site_occupancy
Cs1 Cs 0.000 0.012 0.250 1
Cs2 Cs 0.212 0.195 0.731 1
Al1 Al 0.000 0.443 0.250 1
Ge1 Ge 0.162 0.401 0.739 1
O1 O 0.000 0.355 0.750 1
O2 O 0.097 0.381 0.474 1
O3 O 0.141 0.137 0.064 1
O4 O 0.160 0.499 0.272 1
```

---

[2]
Structure and simulated powder X-ray diffraction pattern of Cs2AlH6 (a crystal structure in Alexandria, relaxed with GGA-PBE; Cu Kα).
Neutral-atom scattering factors, no anomalous dispersion.

Peak list (6 most intense, 10° ≤ 2θ ≤ 90°, most intense first)
| index | 2θ/deg | intensity |
| --- | --- | --- |
| 1 0 2 | 24.51 | 100 |
| 1 1 0 | 29.48 | 67 |
| 1 0 1 | 19.07 | 42 |
| 2 0 2 | 38.70 | 31 |
| 2 1 2 | 49.39 | 29 |
| 1 0 3 | 31.66 | 22 |

Crystal structure
```
data_Cs2AlH6
_cell_length_a 6.0598
_cell_length_b 6.0598
_cell_length_c 10.0609
_cell_angle_alpha 90.00
_cell_angle_beta 90.00
_cell_angle_gamma 120.00
_symmetry_space_group_name_H-M 'P 63 m c'
_symmetry_Int_Tables_number 186
_symmetry_space_group_name_Hall 'P 6c -2c'
loop_
_atom_site_label
_atom_site_type_symbol
_atom_site_fract_x
_atom_site_fract_y
_atom_site_fract_z
_atom_site_occupancy
Cs1 Cs 0.0000 0.0000 0.0000 1
Cs2 Cs 0.3333 0.6667 0.2747 1
Al1 Al 0.3333 0.6667 0.6521 1
H1 H 0.0646 0.5323 0.5487 1
H2 H 0.1938 0.3876 0.7462 1
```

---

[3]
Structure and simulated powder X-ray diffraction pattern of Cs2AlHgH6 (a crystal structure in Alexandria, relaxed with GGA-PBE; Cu Kα).
Neutral-atom scattering factors, no anomalous dispersion.

Peak list (6 most intense, 10° ≤ 2θ ≤ 90°, most intense first)
| index | 2θ/deg | intensity |
| --- | --- | --- |
| 2 0 2 | 29.20 | 100 |
| 2 2 0 | 29.52 | 49 |
| 1 1 1 | 17.83 | 38 |
| 2 2 4 | 51.59 | 20 |
| 2 4 2 | 52.12 | 20 |
| 4 2 2 | 52.23 | 20 |

Crystal structure
```
data_Cs2AlHgH6
_cell_length_a 8.543
_cell_length_b 8.574
_cell_length_c 8.742
_cell_angle_alpha 90.00
_cell_angle_beta 90.00
_cell_angle_gamma 90.00
_symmetry_space_group_name_H-M 'F m m m'
_symmetry_Int_Tables_number 69
_symmetry_space_group_name_Hall '-F 2 2'
loop_
_atom_site_label
_atom_site_type_symbol
_atom_site_fract_x
_atom_site_fract_y
_atom_site_fract_z
_atom_site_occupancy
Cs1 Cs 0.250 0.250 0.250 1
Al1 Al 0.000 0.000 0.000 1
Hg1 Hg 0.000 0.000 0.500 1
H1 H 0.000 0.000 0.205 1
H2 H 0.000 0.210 0.000 1
H3 H 0.211 0.000 0.000 1
```

---

- Number 2 is which compound?
  Cs2AlH6